Record 1
Structure and simulated XRD peak list of LiVP3HO10 (a DFT-relaxed cell (GGA+U, the Materials Project); Cu Kα X-rays).
No peak broadening, texture or thermal motion is included.

Main lines, low angle first (10° ≤ 2θ ≤ 80°):
(hkl)	2θ (°)	I (rel.)
0 0 1	11.80	100
1 -1 0	19.17	16
1 0 -1	21.37	13
1 1 -1	26.10	13
2 1 1	28.74	7
1 2 2	29.03	43
0 1 -2	29.63	10
2 0 2	31.32	12
2 -1 0	31.90	7
0 1 -3	41.23	8

Atomic structure:
Cell lengths 6.521, 7.536, 8.244 Å; angles 73.35, 70.62, 83.34 degrees
Space group P-1 (No. 2)
Unique sites:
Li (0.212, 0.314, 0.404) x2
V (0.311, 0.362, 0.980) x2
P (0.122, 0.688, 0.165) x2
P (0.187, 0.754, 0.694) x2
P (0.363, 0.966, 0.866) x2
H (0.185, 0.779, 0.424) x2
O (0.026, 0.347, 0.930) x2
O (0.029, 0.680, 0.361) x2
O (0.056, 0.280, 0.245) x2
O (0.202, 0.900, 0.066) x2
O (0.229, 0.939, 0.743) x2
O (0.262, 0.834, 0.486) x2
O (0.333, 0.562, 0.122) x2
O (0.334, 0.597, 0.756) x2
O (0.395, 0.169, 0.829) x2
O (0.438, 0.161, 0.158) x2

---

Record 2
Structure and simulated XRD peak list of LiVP2HO8 (a DFT-relaxed cell (GGA+U, the Materials Project); Cu Kα X-rays).
No peak broadening, texture or thermal motion is included.

Main lines, low angle first (10° ≤ 2θ ≤ 80°):
(hkl)	2θ (°)	I (rel.)
0 1 1	16.57	79
1 1 -1	22.61	60
1 -1 0	25.32	100
0 1 2	25.49	70
-1 1 1	27.71	22
1 2 1	29.16	90
1 0 -2	29.38	41
1 1 -2	29.85	28
0 2 -2	33.50	59
-1 3 2	52.47	18

Atomic structure:
Cell lengths 4.861, 7.474, 7.992 Å; angles 89.87, 89.93, 74.44 degrees
Space group P1 (No. 1)
Unique sites:
Li (0.000, 0.000, 0.000) x1
Li (0.489, 0.502, 0.237) x1
V (0.082, 0.860, 0.378) x1
V (0.584, 0.355, 0.858) x1
P (0.227, 0.085, 0.717) x1
P (0.461, 0.121, 0.215) x1
P (0.720, 0.591, 0.523) x1
P (0.963, 0.617, 0.022) x1
H (0.057, 0.363, 0.377) x1
H (0.606, 0.848, 0.872) x1
O (0.079, 0.665, 0.190) x1
O (0.137, 0.036, 0.542) x1
O (0.225, 0.496, 0.923) x1
O (0.250, 0.999, 0.197) x1
O (0.332, 0.302, 0.308) x1
O (0.353, 0.913, 0.823) x1
O (0.423, 0.217, 0.696) x1
O (0.452, 0.698, 0.420) x1
O (0.581, 0.162, 0.044) x1
O (0.634, 0.537, 0.696) x1
O (0.727, 0.999, 0.314) x1
O (0.746, 0.500, 0.041) x1
O (0.834, 0.800, 0.927) x1
O (0.840, 0.414, 0.416) x1
O (0.925, 0.715, 0.539) x1
O (0.954, 0.197, 0.817) x1

---

Record 3
Structure and simulated XRD peak list of LiVP3HO10 (a DFT-relaxed cell (GGA+U, the Materials Project); Cu Kα X-rays).
No peak broadening, texture or thermal motion is included.

Main lines, low angle first (10° ≤ 2θ ≤ 80°):
(hkl)	2θ (°)	I (rel.)
1 0 0	12.61	100
0 0 2	18.59	43
1 1 -1	20.61	15
2 0 -2	20.76	21
1 1 0	21.86	38
1 1 -2	23.39	19
2 1 -2	27.46	49
2 1 0	31.15	23
1 0 -4	31.68	27
0 2 0	36.03	18

Atomic structure:
Cell lengths 8.697, 4.987, 11.826 Å; angles 90.00, 126.16, 90.00 degrees
Space group P2/c (No. 13)
Unique sites:
Li (0.000, 0.104, 0.250) x2
V (0.500, 0.000, 0.000) x2
P (0.235, 0.492, 0.969) x4
P (0.500, 0.262, 0.750) x2
H (0.000, 0.500, 0.000) x2
O (0.029, 0.436, 0.414) x4
O (0.257, 0.195, 0.949) x4
O (0.311, 0.318, 0.413) x4
O (0.349, 0.468, 0.637) x4
O (0.415, 0.096, 0.807) x4

---

Record 4
Structure and simulated XRD peak list of LiVP4H4O14 (a DFT-relaxed cell (GGA+U, the Materials Project); Cu Kα X-rays).
No peak broadening, texture or thermal motion is included.

Main lines, low angle first (10° ≤ 2θ ≤ 80°):
(hkl)	2θ (°)	I (rel.)
0 1 1	12.07	30
1 0 -1	20.72	25
1 1 2	23.42	88
1 -1 2	25.91	27
0 1 3	27.28	21
1 1 -2	28.08	100
-1 2 1	28.44	45
0 3 -1	29.49	74
1 2 3	32.65	31
1 4 -3	51.23	25

Atomic structure:
Cell lengths 5.167, 9.881, 10.269 Å; angles 84.28, 80.92, 83.08 degrees
Space group P-1 (No. 2)
Unique sites:
Li (0.241, 0.248, 0.255) x2
V (0.000, 0.000, 0.500) x1
V (0.500, 0.500, 0.000) x1
P (0.065, 0.455, 0.774) x2
P (0.183, 0.815, 0.922) x2
P (0.317, 0.684, 0.577) x2
P (0.434, 0.044, 0.726) x2
H (0.119, 0.195, 0.667) x2
H (0.205, 0.634, 0.390) x2
H (0.296, 0.867, 0.108) x2
H (0.381, 0.304, 0.832) x2
O (0.024, 0.341, 0.693) x2
O (0.072, 0.188, 0.126) x2
O (0.126, 0.816, 0.574) x2
O (0.129, 0.587, 0.680) x2
O (0.139, 0.878, 0.058) x2
O (0.167, 0.494, 0.129) x2
O (0.186, 0.094, 0.650) x2
O (0.314, 0.406, 0.850) x2
O (0.333, 0.007, 0.372) x2
O (0.362, 0.623, 0.441) x2
O (0.371, 0.682, 0.926) x2
O (0.371, 0.912, 0.819) x2
O (0.429, 0.312, 0.375) x2
O (0.475, 0.158, 0.807) x2